# 1
B: computed powder XRD pattern (λ = 1.5418 Å (Cu Kα)), based on a GGA-PBE-relaxed structure.

Cell and atoms:
```
data_B
_chemical_formula_sum 'B50'
_cell_length_a 8.6196
_cell_length_b 8.6196
_cell_length_c 5.0634
_cell_angle_alpha 90.00
_cell_angle_beta 90.00
_cell_angle_gamma 90.00
_space_group_name_H-M_alt 'P 1'
_space_group_IT_number 1
loop_
_space_group_symop_operation_xyz
'x,y,z'
loop_
_atom_site_label
_atom_site_type_symbol
_atom_site_fract_x
_atom_site_fract_y
_atom_site_fract_z
B1 B 0.0042 0.5042 0.1657
B2 B 0.0042 0.9958 0.3343
B3 B 0.0226 0.6687 0.6570
B4 B 0.0226 0.8313 0.8430
B5 B 0.0789 0.1679 0.8464
B6 B 0.0789 0.3321 0.6536
B7 B 0.1211 0.6211 0.3658
B8 B 0.1211 0.8789 0.1342
B9 B 0.1679 0.0789 0.1536
B10 B 0.1679 0.4211 0.3464
B11 B 0.1687 0.5226 0.6570
B12 B 0.1687 0.9774 0.8430
B13 B 0.2500 0.7500 0.7500
B14 B 0.3313 0.5226 0.8430
B15 B 0.3313 0.9774 0.6570
B16 B 0.3321 0.0789 0.3464
B17 B 0.3321 0.4211 0.1536
B18 B 0.3789 0.6211 0.1342
B19 B 0.3789 0.8789 0.3658
B20 B 0.4211 0.1679 0.6536
B21 B 0.4211 0.3321 0.8464
B22 B 0.4774 0.6687 0.8430
B23 B 0.4774 0.8313 0.6570
B24 B 0.4958 0.5042 0.3343
B25 B 0.4958 0.9958 0.1657
B26 B 0.5042 0.0042 0.8343
B27 B 0.5042 0.4958 0.6657
B28 B 0.5226 0.1687 0.3430
B29 B 0.5226 0.3313 0.1570
B30 B 0.5789 0.6679 0.1536
B31 B 0.5789 0.8321 0.3464
B32 B 0.6211 0.1211 0.6342
B33 B 0.6211 0.3789 0.8658
B34 B 0.6679 0.5789 0.8464
B35 B 0.6679 0.9211 0.6536
B36 B 0.6687 0.0226 0.3430
B37 B 0.6687 0.4774 0.1570
B38 B 0.7500 0.2500 0.2500
B39 B 0.8313 0.0226 0.1570
B40 B 0.8313 0.4774 0.3430
B41 B 0.8321 0.5789 0.6536
B42 B 0.8321 0.9211 0.8464
B43 B 0.8789 0.1211 0.8658
B44 B 0.8789 0.3789 0.6342
B45 B 0.9211 0.6679 0.3464
B46 B 0.9211 0.8321 0.1536
B47 B 0.9774 0.1687 0.1570
B48 B 0.9774 0.3313 0.3430
B49 B 0.9958 0.0042 0.6657
B50 B 0.9958 0.4958 0.8343
```

Most intense lines, 5° ≤ 2θ ≤ 70°, in order of falling intensity:
- 2θ = 20.61°, I 100
- 2θ = 37.47°, I 83
- 2θ = 22.83°, I 69
- 2θ = 64.98°, I 39
- 2θ = 35.46°, I 27
- 2θ = 47.03°, I 27

***

# 2
TaInBi2O7: computed powder XRD pattern (λ = 1.5418 Å (Cu Kα)), based on a GGA-PBE-relaxed structure.

Cell and atoms:
```
data_TaInBi2O7
_chemical_formula_sum 'Ta2 In2 Bi4 O14'
_cell_length_a 7.6289
_cell_length_b 7.6289
_cell_length_c 7.6289
_cell_angle_alpha 120.46
_cell_angle_beta 119.88
_cell_angle_gamma 89.71
_space_group_name_H-M_alt 'P 1'
_space_group_IT_number 1
loop_
_space_group_symop_operation_xyz
'x,y,z'
loop_
_atom_site_label
_atom_site_type_symbol
_atom_site_fract_x
_atom_site_fract_y
_atom_site_fract_z
Ta1 Ta 0.0000 0.0000 0.0000
Ta2 Ta 0.5000 0.0000 0.5000
In1 In 0.5000 0.0000 0.0000
In2 In 0.5000 0.5000 0.5000
Bi1 Bi 0.0000 0.0000 0.5000
Bi2 Bi 0.0000 0.5000 0.0000
Bi3 Bi 0.0000 0.5000 0.5000
Bi4 Bi 0.5000 0.5000 0.0000
O1 O 0.1198 0.3698 0.7500
O2 O 0.1494 0.3206 0.2179
O3 O 0.1494 0.9315 0.8289
O4 O 0.2083 0.9583 0.2500
O5 O 0.3973 0.0685 0.7179
O6 O 0.3973 0.6794 0.3289
O7 O 0.3995 0.6495 0.7500
O8 O 0.6005 0.3505 0.2500
O9 O 0.6027 0.3206 0.6711
O10 O 0.6027 0.9315 0.2821
O11 O 0.7917 0.0417 0.7500
O12 O 0.8506 0.0685 0.1711
O13 O 0.8506 0.6794 0.7821
O14 O 0.8802 0.6302 0.2500
```

Most intense lines, 5° ≤ 2θ ≤ 70°, in order of falling intensity:
- 2θ = 28.77°, I 100
- 2θ = 28.60°, I 96
- 2θ = 47.66°, I 75
- 2θ = 33.30°, I 49
- 2θ = 56.57°, I 31
- 2θ = 56.49°, I 30

***

# 3
Ti2MnFe: computed powder XRD pattern (λ = 1.5418 Å (Cu Kα)), based on a GGA-PBE-relaxed structure.

Cell and atoms:
```
data_Ti2MnFe
_chemical_formula_sum 'Ti8 Mn4 Fe4'
_cell_length_a 5.9386
_cell_length_b 5.9386
_cell_length_c 5.9386
_cell_angle_alpha 90.00
_cell_angle_beta 90.00
_cell_angle_gamma 90.00
_space_group_name_H-M_alt 'P 1'
_space_group_IT_number 1
loop_
_space_group_symop_operation_xyz
'x,y,z'
loop_
_atom_site_label
_atom_site_type_symbol
_atom_site_fract_x
_atom_site_fract_y
_atom_site_fract_z
Ti1 Ti 0.2500 0.2500 0.2500
Ti2 Ti 0.2500 0.2500 0.7500
Ti3 Ti 0.2500 0.7500 0.2500
Ti4 Ti 0.2500 0.7500 0.7500
Ti5 Ti 0.7500 0.2500 0.2500
Ti6 Ti 0.7500 0.2500 0.7500
Ti7 Ti 0.7500 0.7500 0.2500
Ti8 Ti 0.7500 0.7500 0.7500
Mn1 Mn 0.0000 0.0000 0.0000
Mn2 Mn 0.0000 0.5000 0.5000
Mn3 Mn 0.5000 0.0000 0.5000
Mn4 Mn 0.5000 0.5000 0.0000
Fe1 Fe 0.0000 0.0000 0.5000
Fe2 Fe 0.0000 0.5000 0.0000
Fe3 Fe 0.5000 0.0000 0.0000
Fe4 Fe 0.5000 0.5000 0.5000
```

Most intense lines, 5° ≤ 2θ ≤ 70°, in order of falling intensity:
- 2θ = 43.08°, I 100
- 2θ = 62.57°, I 15
- 2θ = 30.10°, I 1

***

# 4
Mo3WSe8: computed powder XRD pattern (λ = 1.5418 Å (Cu Kα)), based on a GGA-PBE-relaxed structure.

Cell and atoms:
```
data_Mo3WSe8
_chemical_formula_sum 'Mo3 W1 Se8'
_cell_length_a 3.3235
_cell_length_b 3.3235
_cell_length_c 37.8253
_cell_angle_alpha 90.00
_cell_angle_beta 90.00
_cell_angle_gamma 120.00
_space_group_name_H-M_alt 'P 1'
_space_group_IT_number 1
loop_
_space_group_symop_operation_xyz
'x,y,z'
loop_
_atom_site_label
_atom_site_type_symbol
_atom_site_fract_x
_atom_site_fract_y
_atom_site_fract_z
Mo1 Mo 0.0000 0.0000 0.0000
Mo2 Mo 0.0000 0.0000 0.3757
Mo3 Mo 0.6667 0.3333 0.8121
W1 W 0.6667 0.3333 0.1879
Se1 Se 0.0000 0.0000 0.1433
Se2 Se 0.0000 0.0000 0.2324
Se3 Se 0.0000 0.0000 0.7678
Se4 Se 0.0000 0.0000 0.8564
Se5 Se 0.6667 0.3333 0.0443
Se6 Se 0.6667 0.3333 0.3314
Se7 Se 0.6667 0.3333 0.4200
Se8 Se 0.6667 0.3333 0.9557
```

Most intense lines, 5° ≤ 2θ ≤ 70°, in order of falling intensity:
- 2θ = 11.70°, I 100
- 2θ = 36.55°, I 74
- 2θ = 44.26°, I 52
- 2θ = 31.09°, I 42
- 2θ = 55.29°, I 30
- 2θ = 7.01°, I 24

***

# 5
HgRuO3: computed powder XRD pattern (λ = 1.5418 Å (Cu Kα)), based on a GGA-PBE-relaxed structure.

Cell and atoms:
```
data_HgRuO3
_chemical_formula_sum 'Hg1 Ru1 O3'
_cell_length_a 3.9443
_cell_length_b 3.9443
_cell_length_c 3.9443
_cell_angle_alpha 90.00
_cell_angle_beta 90.00
_cell_angle_gamma 90.00
_space_group_name_H-M_alt 'P 1'
_space_group_IT_number 1
loop_
_space_group_symop_operation_xyz
'x,y,z'
loop_
_atom_site_label
_atom_site_type_symbol
_atom_site_fract_x
_atom_site_fract_y
_atom_site_fract_z
Hg1 Hg 0.0000 0.0000 0.0000
Ru1 Ru 0.5000 0.5000 0.5000
O1 O 0.0000 0.5000 0.5000
O2 O 0.5000 0.0000 0.5000
O3 O 0.5000 0.5000 0.0000
```

Most intense lines, 5° ≤ 2θ ≤ 70°, in order of falling intensity:
- 2θ = 32.09°, I 100
- 2θ = 57.21°, I 40
- 2θ = 46.02°, I 27
- 2θ = 67.12°, I 17
- 2θ = 39.57°, I 10
- 2θ = 22.54°, I 8

***

# 6
PrTlCd: computed powder XRD pattern (λ = 1.5418 Å (Cu Kα)), based on a GGA-PBE-relaxed structure.

Cell and atoms:
```
data_PrTlCd
_chemical_formula_sum 'Pr2 Tl2 Cd2'
_cell_length_a 5.0573
_cell_length_b 5.0573
_cell_length_c 7.6337
_cell_angle_alpha 90.00
_cell_angle_beta 90.00
_cell_angle_gamma 120.00
_space_group_name_H-M_alt 'P 1'
_space_group_IT_number 1
loop_
_space_group_symop_operation_xyz
'x,y,z'
loop_
_atom_site_label
_atom_site_type_symbol
_atom_site_fract_x
_atom_site_fract_y
_atom_site_fract_z
Pr1 Pr 0.0000 0.0000 0.0000
Pr2 Pr 0.0000 0.0000 0.5000
Tl1 Tl 0.3333 0.6667 0.2500
Tl2 Tl 0.6667 0.3333 0.7500
Cd1 Cd 0.3333 0.6667 0.7500
Cd2 Cd 0.6667 0.3333 0.2500
```

Most intense lines, 5° ≤ 2θ ≤ 70°, in order of falling intensity:
- 2θ = 31.08°, I 100
- 2θ = 35.50°, I 82
- 2θ = 60.81°, I 34
- 2θ = 47.89°, I 30
- 2θ = 61.01°, I 29
- 2θ = 42.91°, I 16

***

# 7
Ca2CuCN2O2: computed powder XRD pattern (λ = 1.5418 Å (Cu Kα)), based on a GGA-PBE-relaxed structure.

Cell and atoms:
```
data_Ca2CuCN2O2
_chemical_formula_sum 'Ca2 Cu1 C1 N2 O2'
_cell_length_a 3.7541
_cell_length_b 3.7541
_cell_length_c 7.8816
_cell_angle_alpha 90.00
_cell_angle_beta 90.00
_cell_angle_gamma 90.00
_space_group_name_H-M_alt 'P 1'
_space_group_IT_number 1
loop_
_space_group_symop_operation_xyz
'x,y,z'
loop_
_atom_site_label
_atom_site_type_symbol
_atom_site_fract_x
_atom_site_fract_y
_atom_site_fract_z
Ca1 Ca 0.0000 0.0000 0.2017
Ca2 Ca 0.0000 0.0000 0.7983
Cu1 Cu 0.5000 0.5000 0.0000
C1 C 0.5000 0.5000 0.5000
N1 N 0.5000 0.5000 0.3419
N2 N 0.5000 0.5000 0.6581
O1 O 0.0000 0.5000 0.0000
O2 O 0.5000 0.0000 0.0000
```

Most intense lines, 5° ≤ 2θ ≤ 70°, in order of falling intensity:
- 2θ = 11.23°, I 100
- 2θ = 32.95°, I 57
- 2θ = 33.77°, I 35
- 2θ = 41.97°, I 34
- 2θ = 48.50°, I 22
- 2θ = 59.88°, I 18

***

# 8
Ca3Ge4: computed powder XRD pattern (λ = 1.5418 Å (Cu Kα)), based on a GGA-PBE-relaxed structure.

Cell and atoms:
```
data_Ca3Ge4
_chemical_formula_sum 'Ca18 Ge24'
_cell_length_a 8.7891
_cell_length_b 8.7891
_cell_length_c 15.2842
_cell_angle_alpha 90.00
_cell_angle_beta 90.00
_cell_angle_gamma 120.00
_space_group_name_H-M_alt 'P 1'
_space_group_IT_number 1
loop_
_space_group_symop_operation_xyz
'x,y,z'
loop_
_atom_site_label
_atom_site_type_symbol
_atom_site_fract_x
_atom_site_fract_y
_atom_site_fract_z
Ca1 Ca 0.0000 0.0000 0.0000
Ca2 Ca 0.0000 0.0000 0.2500
Ca3 Ca 0.0000 0.0000 0.5000
Ca4 Ca 0.0000 0.0000 0.7500
Ca5 Ca 0.0909 0.6652 0.1000
Ca6 Ca 0.0909 0.6652 0.4000
Ca7 Ca 0.3333 0.6667 0.7500
Ca8 Ca 0.3348 0.4257 0.1000
Ca9 Ca 0.3348 0.4257 0.4000
Ca10 Ca 0.4257 0.0909 0.6000
Ca11 Ca 0.4257 0.0909 0.9000
Ca12 Ca 0.5743 0.9091 0.1000
Ca13 Ca 0.5743 0.9091 0.4000
Ca14 Ca 0.6652 0.5743 0.6000
Ca15 Ca 0.6652 0.5743 0.9000
Ca16 Ca 0.6667 0.3333 0.2500
Ca17 Ca 0.9091 0.3348 0.6000
Ca18 Ca 0.9091 0.3348 0.9000
Ge1 Ge 0.0563 0.3685 0.2500
Ge2 Ge 0.0888 0.7443 0.6037
Ge3 Ge 0.0888 0.7443 0.8963
Ge4 Ge 0.2557 0.3445 0.6037
Ge5 Ge 0.2557 0.3445 0.8963
Ge6 Ge 0.3122 0.9437 0.2500
Ge7 Ge 0.3333 0.6667 0.2500
Ge8 Ge 0.3333 0.6667 0.5510
Ge9 Ge 0.3333 0.6667 0.9490
Ge10 Ge 0.3445 0.0888 0.1037
Ge11 Ge 0.3445 0.0888 0.3963
Ge12 Ge 0.3685 0.3122 0.7500
Ge13 Ge 0.6315 0.6878 0.2500
Ge14 Ge 0.6555 0.9112 0.6037
Ge15 Ge 0.6555 0.9112 0.8963
Ge16 Ge 0.6667 0.3333 0.0510
Ge17 Ge 0.6667 0.3333 0.4490
Ge18 Ge 0.6667 0.3333 0.7500
Ge19 Ge 0.6878 0.0563 0.7500
Ge20 Ge 0.7443 0.6555 0.1037
Ge21 Ge 0.7443 0.6555 0.3963
Ge22 Ge 0.9112 0.2557 0.1037
Ge23 Ge 0.9112 0.2557 0.3963
Ge24 Ge 0.9437 0.6315 0.7500
```

Most intense lines, 5° ≤ 2θ ≤ 70°, in order of falling intensity:
- 2θ = 21.02°, I 100
- 2θ = 31.04°, I 76
- 2θ = 35.38°, I 69
- 2θ = 39.20°, I 60
- 2θ = 35.84°, I 44
- 2θ = 35.23°, I 38